Entry 1:
This entry pairs a crystal structure of La2LuHf with its simulated XRD peak list. Radiation: Cu Kα X-rays. Structure: a structure optimized by DFT (GGA-PBE).
Neutral-atom scattering factors, no anomalous dispersion.

Principal peaks in the range 2θ from 5° to 70°, by angle:
2θ (°)  I_rel
21.95  2
23.96  1
31.24  58
32.72  100
39.75  1
42.81  1
44.77  22
49.05  7
56.54  42
59.31  17
65.17  7
68.57  11

Cell and atoms:
```
La2LuHf
1.0
4.0490 0.0000 0.0000
0.0000 4.0490 0.0000
0.0000 0.0000 7.4291
La Lu Hf
2 1 1
Direct
0.0000 0.0000 0.2305 La
0.0000 0.0000 0.7695 La
0.5000 0.5000 0.5000 Lu
0.5000 0.5000 0.0000 Hf
```

Entry 2:
This entry pairs a crystal structure of Ac2NpCuPt6 with its simulated XRD peak list. Radiation: Cu Kα X-rays. Structure: a structure optimized by DFT (GGA-PBE).
Neutral-atom scattering factors, no anomalous dispersion.

Principal peaks in the range 2θ from 5° to 70°, by angle:
2θ (°)  I_rel
17.96  10
25.51  18
30.01  6
31.38  91
36.39  100
39.79  6
40.86  5
44.97  8
52.41  71
59.17  4
62.37  39
65.48  24

Cell and atoms:
```
Ac2NpCuPt6
1.0
0.0000 4.9379 4.9379
4.9379 0.0000 4.9379
4.9379 4.9379 0.0000
Ac Np Cu Pt
2 1 1 6
Direct
0.2500 0.2500 0.2500 Ac
0.7500 0.7500 0.7500 Ac
0.0000 0.0000 0.0000 Np
0.5000 0.5000 0.5000 Cu
0.2577 0.2577 0.7423 Pt
0.2577 0.7423 0.2577 Pt
0.2577 0.7423 0.7423 Pt
0.7423 0.2577 0.2577 Pt
0.7423 0.2577 0.7423 Pt
0.7423 0.7423 0.2577 Pt
```

Entry 3:
This entry pairs a crystal structure of Mg2H2Ir5 with its simulated XRD peak list. Radiation: Cu Kα X-rays. Structure: a structure optimized by DFT (GGA-PBE).
Neutral-atom scattering factors, no anomalous dispersion.

Principal peaks in the range 2θ from 5° to 70°, by angle:
2θ (°)  I_rel
16.21  12
19.60  56
25.58  12
37.68  11
38.52  29
39.81  35
40.00  100
45.47  24
46.96  41
50.64  11
67.27  14
67.59  14

Cell and atoms:
```
Mg2H2Ir5
1.0
4.8260 0.0000 0.0000
0.0000 5.4665 0.0000
-1.7438 0.0000 4.5286
Mg H Ir
2 2 5
Direct
0.0000 0.0000 0.0000 Mg
0.5000 0.3296 0.0000 Mg
0.0983 0.5128 0.2999 H
0.9017 0.5128 0.7001 H
0.0000 0.2672 0.5000 Ir
0.0000 0.7800 0.5000 Ir
0.5000 0.0328 0.5000 Ir
0.5000 0.5395 0.5000 Ir
0.5000 0.8267 0.0000 Ir
```